KZn3Se4O12: computed X-ray diffraction stick pattern (CuKα), based on DFT lattice parameters and positions (GGA-PBE).
Kinematic intensities with the Lorentz-polarization factor, no thermal factor.

Structural model:
```
data_KZn3Se4O12
_chemical_formula_sum 'K3 Zn9 Se12 O36'
_cell_length_a 11.3868
_cell_length_b 11.3868
_cell_length_c 8.0463
_cell_angle_alpha 90.00
_cell_angle_beta 90.00
_cell_angle_gamma 120.00
_symmetry_space_group_name_H-M 'R 3 2'
_symmetry_Int_Tables_number 155
_symmetry_space_group_name_Hall 'R 3 2"'
loop_
_atom_site_label
_atom_site_fract_x
_atom_site_fract_y
_atom_site_fract_z
K1 0.0000 0.0000 0.0000
Zn1 0.0000 0.5647 0.0000
Se1 0.0000 0.0000 0.5000
Se2 0.0000 0.4429 0.5000
O1 0.0000 0.6133 0.5000
O2 0.0000 0.8418 0.5000
O3 0.0502 0.2376 0.1875
```

Peak list (12 most intense, 10 to 80 degrees two-theta, in order of rising 2θ)
| h k l | d [Å] | 2theta | I_rel |
| --- | --- | --- | --- |
| 2 1 1 | 3.382 | 26.35 | 43 |
| 2 0 2 | 3.117 | 28.64 | 100 |
| 2 2 0 | 2.847 | 31.43 | 26 |
| 1 3 1 | 2.590 | 34.64 | 27 |
| 1 1 3 | 2.426 | 37.05 | 16 |
| 0 2 4 | 1.863 | 48.90 | 19 |
| 5 0 2 | 1.771 | 51.61 | 12 |
| 5 1 1 | 1.730 | 52.93 | 17 |
| 4 1 3 | 1.678 | 54.68 | 20 |
| 5 2 0 | 1.579 | 58.45 | 17 |
| 3 5 1 | 1.387 | 67.51 | 13 |
| 0 7 2 | 1.330 | 70.88 | 12 |